For SrEuBiAu, DFT lattice parameters and positions (PBE) gives the simulated PXRD pattern in this record (Cu Kα).

The 10 most intense peaks (2θ = 10–80°), low angle first:
2θ (°), intensity, index
19.43, 2.2, 1 1 1
22.47, 7.4, 2 0 0
31.99, 100.0, 2 2 0
39.45, 2.5, 2 2 2
45.87, 18.6, 4 0 0
51.66, 3.6, 4 2 0
57.01, 39.3, 4 2 2
66.89, 12.3, 4 4 0
71.54, 1.8, 6 0 0
76.07, 17.2, 6 2 0

Atomic structure:
Cell lengths 7.913, 7.913, 7.913 Å; angles 90.00, 90.00, 90.00 degrees
Atoms (fractional coordinates):
Sr 0.000 0.000 0.000
Sr 0.000 0.500 0.500
Sr 0.500 0.000 0.500
Sr 0.500 0.500 0.000
Eu 0.000 0.000 0.500
Eu 0.000 0.500 0.000
Eu 0.500 0.000 0.000
Eu 0.500 0.500 0.500
Bi 0.250 0.250 0.750
Bi 0.250 0.750 0.250
Bi 0.750 0.250 0.250
Bi 0.750 0.750 0.750
Au 0.250 0.250 0.250
Au 0.250 0.750 0.750
Au 0.750 0.250 0.750
Au 0.750 0.750 0.250